Ta2P2Rh: calculated PXRD pattern (Cu Kα (λ = 1.5418 Å)), based on a PBE-relaxed structure.
Kinematic intensities with the Lorentz-polarization factor, no thermal factor.

Largest 10 diffraction maxima, in order of falling intensity, 2θ from 5° to 70°:
2θ = 40.56°, I 100.0, (2 1 1)
2θ = 29.75°, I 56.8, (2 1 0)
2θ = 42.58°, I 48.3, (3 1 0)
2θ = 32.99°, I 35.9, (1 1 1)
2θ = 38.18°, I 23.6, (2 0 1)
2θ = 65.36°, I 17.3, (3 3 1)
2θ = 61.99°, I 16.2, (4 0 1)
2θ = 64.26°, I 13.5, (2 1 2)
2θ = 55.53°, I 13.2, (0 0 2)
2θ = 26.94°, I 12.3, (0 0 1)

Crystal structure
Unit cell a=6.7147 b=6.7147 c=3.3100 alpha=90.00 beta=90.00 gamma=90.00
Fractional positions:
Ta1 0.1511 0.3489 0.0000
Ta2 0.3489 0.8489 0.0000
Ta3 0.6511 0.1511 0.0000
Ta4 0.8489 0.6511 0.0000
P1 0.1490 0.6490 0.5000
P2 0.3510 0.1490 0.5000
P3 0.6490 0.8510 0.5000
P4 0.8510 0.3510 0.5000
Rh1 0.0000 0.0000 0.5000
Rh2 0.5000 0.5000 0.5000